1.
Theoretical X-ray diffraction stick pattern of CePm7In4 for λ = 1.5418 Å (Cu Kα), from a structure optimized by DFT (GGA-PBE).
Peak positions follow from Bragg's law for the DFT cell and can differ from measured ones.

The 8 most intense peaks (15 to 90 degrees two-theta), sorted by position:
(hkl)  two_theta  d/Å  I (rel.)
4 0 -3  27.9  3.195  60
1 1 2  29.2  3.055  60
3 1 -3  30.0  2.979  67
2 0 2  30.5  2.931  24
0 2 0  31.2  2.866  100
3 1 1  32.5  2.753  41
5 1 -1  35.6  2.523  94
4 2 -3  42.4  2.133  40

```
data_CePm7In4
_symmetry_space_group_name_H-M 'C 1 2/m 1'
_symmetry_Int_Tables_number 12
_symmetry_space_group_name_Hall '-C 2y'
_cell_length_a 14.796
_cell_length_b 5.732
_cell_length_c 10.693
_cell_angle_alpha 90.00
_cell_angle_beta 123.41
_cell_angle_gamma 90.00
loop_
_atom_site_label
_atom_site_type_symbol
_atom_site_fract_x
_atom_site_fract_y
_atom_site_fract_z
Ce1 Ce 0.000 0.000 0.000
Pm1 Pm 0.000 0.500 0.000
Pm2 Pm 0.064 0.000 0.396
Pm3 Pm 0.206 0.000 0.881
Pm4 Pm 0.222 0.500 0.664
In1 In 0.058 0.500 0.754
In2 In 0.180 0.500 0.334
```

***

2.
Theoretical X-ray diffraction stick pattern of LiCuP2Se6 for λ = 1.5418 Å (Cu Kα), from a structure optimized by DFT (GGA-PBE).
Peak positions follow from Bragg's law for the DFT cell and can differ from measured ones.

The 8 most intense peaks (15 to 90 degrees two-theta), sorted by position:
(hkl)  two_theta  d/Å  I (rel.)
0 2 1  20.5  4.327  73
3 1 0  23.1  3.853  37
1 3 -1  24.8  3.595  36
1 3 1  28.6  3.125  100
3 3 -1  29.2  3.058  100
3 1 -2  29.8  3.001  45
0 6 0  41.7  2.165  34
5 3 1  51.4  1.778  34

```
data_LiCuP2Se6
_symmetry_space_group_name_H-M 'C 1 2/c 1'
_symmetry_Int_Tables_number 15
_symmetry_space_group_name_Hall '-C 2yc'
_cell_length_a 13.476
_cell_length_b 12.988
_cell_length_c 6.461
_cell_angle_alpha 90.00
_cell_angle_beta 116.09
_cell_angle_gamma 90.00
loop_
_atom_site_label
_atom_site_type_symbol
_atom_site_fract_x
_atom_site_fract_y
_atom_site_fract_z
Li1 Li 0.000 0.201 0.250
Cu1 Cu 0.000 0.221 0.750
P1 P 0.222 0.415 0.237
Se1 Se 0.096 0.081 0.624
Se2 Se 0.146 0.261 0.119
Se3 Se 0.146 0.447 0.492
```

***

3.
Theoretical X-ray diffraction stick pattern of Cd2Pd6Au for λ = 1.5418 Å (Cu Kα), from a structure optimized by DFT (GGA-PBE).
Peak positions follow from Bragg's law for the DFT cell and can differ from measured ones.

The 8 most intense peaks (15 to 90 degrees two-theta), sorted by position:
(hkl)  two_theta  d/Å  I (rel.)
3 1 0  38.5  2.338  100
1 1 -3  38.6  2.330  100
0 2 0  43.7  2.072  35
2 0 3  44.2  2.047  33
4 0 -3  46.6  1.950  29
2 2 3  63.9  1.456  22
4 2 -3  65.8  1.420  20
1 3 -3  76.8  1.241  26

```
data_Cd2Pd6Au
_symmetry_space_group_name_H-M 'C 1 2/m 1'
_symmetry_Int_Tables_number 12
_symmetry_space_group_name_Hall '-C 2y'
_cell_length_a 8.828
_cell_length_b 4.144
_cell_length_c 8.463
_cell_angle_alpha 90.00
_cell_angle_beta 105.84
_cell_angle_gamma 90.00
loop_
_atom_site_label
_atom_site_type_symbol
_atom_site_fract_x
_atom_site_fract_y
_atom_site_fract_z
Cd1 Cd 0.174 0.000 0.228
Pd1 Pd 0.005 0.500 0.338
Pd2 Pd 0.162 0.000 0.887
Pd3 Pd 0.163 0.000 0.555
Au1 Au 0.000 0.500 0.000
```